Record 1
Starting from a crystal structure in Alexandria, relaxed with PBE, the powder X-ray diffraction pattern of Tb6Dy4Zr was simulated for Cu Kα (weighted mean of Kα1 and Kα2).
Intensities are scaled so that the largest is 100.

Structural model:
```
Tb6Dy4Zr
1.0
8.7087 0.0000 0.0000
0.0000 8.7087 0.0000
0.0000 0.0000 8.9794
Tb Dy Zr
12 8 2
Cartesian
0.0000 0.0000 1.5785 Tb
0.0000 0.0000 7.4009 Tb
1.3112 3.0037 4.4897 Tb
1.3507 3.0431 0.0000 Tb
3.0037 7.3975 4.4897 Tb
3.0431 7.3580 0.0000 Tb
4.3544 4.3544 2.9112 Tb
4.3544 4.3544 6.0682 Tb
5.6656 1.3507 0.0000 Tb
5.7050 1.3112 4.4897 Tb
7.3580 5.6656 0.0000 Tb
7.3975 5.7050 4.4897 Tb
1.2703 5.6246 2.2449 Dy
1.2703 5.6246 6.7346 Dy
3.0841 1.2703 2.2449 Dy
3.0841 1.2703 6.7346 Dy
5.6246 7.4384 2.2449 Dy
5.6246 7.4384 6.7346 Dy
7.4384 3.0841 2.2449 Dy
7.4384 3.0841 6.7346 Dy
0.0000 0.0000 4.4897 Zr
4.3544 4.3544 0.0000 Zr
```

Main lines, sorted by position (2θ = 10–90°):
| d/Å | I_rel |
| --- | --- |
| 3.079 | 8 |
| 2.942 | 100 |
| 2.754 | 55 |
| 2.373 | 9 |
| 2.245 | 10 |
| 1.947 | 8 |
| 1.911 | 11 |
| 1.740 | 11 |
| 1.563 | 9 |
| 1.521 | 21 |
| 1.515 | 9 |
| 1.397 | 10 |

Record 2
Starting from a crystal structure in Alexandria, relaxed with PBE, the powder X-ray diffraction pattern of Tb3Dy6Zr was simulated for Cu Kα (weighted mean of Kα1 and Kα2).
Intensities are scaled so that the largest is 100.

Structural model:
```
Tb3Dy6Zr
1.0
4.8968 0.0000 0.0000
0.0000 11.4098 0.0000
-0.0186 0.0000 11.4410
Tb Dy Zr
6 12 2
Cartesian
0.0000 0.0000 0.0000 Tb
-0.0093 5.7049 5.7205 Tb
-0.0090 1.6921 7.4112 Tb
0.0003 4.0128 1.6907 Tb
4.8779 7.3970 9.7503 Tb
4.8872 9.7177 4.0298 Tb
0.0001 7.3894 1.6827 Dy
-0.0092 9.7254 7.4032 Dy
2.4405 0.0014 2.4633 Dy
2.4312 5.7035 8.1838 Dy
2.4299 2.4507 11.4397 Dy
2.4392 3.2542 5.7192 Dy
2.4390 8.1556 5.7217 Dy
2.4483 8.9591 0.0012 Dy
2.4377 11.4084 8.9777 Dy
2.4470 5.7063 3.2572 Dy
4.8874 1.6845 4.0378 Dy
4.8781 4.0204 9.7583 Dy
2.4391 0.0000 5.7205 Zr
2.4484 5.7049 0.0000 Zr
```

Main lines, sorted by position (2θ = 10–90°):
| d/Å | I_rel |
| --- | --- |
| 3.613 | 14 |
| 3.116 | 54 |
| 2.907 | 100 |
| 2.693 | 30 |
| 2.470 | 30 |
| 2.465 | 29 |
| 2.448 | 34 |
| 2.020 | 20 |
| 1.812 | 18 |
| 1.558 | 18 |
| 1.436 | 20 |
| 1.433 | 20 |

Record 3
Starting from a crystal structure in Alexandria, relaxed with PBE, the powder X-ray diffraction pattern of Tb7Dy12Zr was simulated for Cu Kα (weighted mean of Kα1 and Kα2).
Intensities are scaled so that the largest is 100.

Structural model:
```
Tb7Dy12Zr
1.0
6.1849 3.5709 4.8602
-6.1849 3.5709 4.8602
0.0000 -7.1418 4.8602
Tb Dy Zr
7 12 1
Cartesian
0.0000 0.0000 0.0000 Tb
-1.8053 -1.7295 5.7392 Tb
-2.4004 0.6987 8.8415 Tb
-0.5951 2.4281 5.7393 Tb
0.5951 -2.4281 8.8415 Tb
2.4004 -0.6987 5.7393 Tb
1.8053 1.7295 8.8415 Tb
-0.4673 -2.0165 2.6890 Dy
-1.5127 1.4129 2.6890 Dy
-3.7163 1.1002 5.6396 Dy
-2.8110 -2.6683 8.9411 Dy
0.9053 -3.7685 5.6396 Dy
1.9800 0.6036 2.6889 Dy
-1.9800 -0.6036 11.8918 Dy
-0.9053 3.7685 8.9411 Dy
2.8110 2.6683 5.6396 Dy
3.7163 -1.1002 8.9411 Dy
1.5127 -1.4129 11.8918 Dy
0.4673 2.0165 11.8918 Dy
0.0000 0.0000 7.2904 Zr
```

Main lines, sorted by position (2θ = 10–90°):
| d/Å | I_rel |
| --- | --- |
| 3.822 | 15 |
| 3.014 | 27 |
| 2.911 | 100 |
| 2.878 | 38 |
| 2.814 | 34 |
| 2.751 | 91 |
| 2.709 | 39 |
| 2.609 | 12 |
| 2.366 | 13 |
| 1.910 | 12 |
| 1.618 | 24 |
| 1.554 | 12 |